(1)
This entry pairs a crystal structure of SmZn3Ag9 with its simulated X-ray diffraction stick pattern. Radiation: Cu Kα, 1.54184 Å. Structure: a crystal structure in Alexandria, relaxed with PBE.
Kinematic intensities with the Lorentz-polarization factor, no thermal factor.

Structure:
abc: 5.3168 13.3856 7.0984
angles: 90.00 108.99 90.00
Space group C2/m (No. 12)
Unique sites:
Sm: 0.0000 0.0000 0.0000 (multiplicity 2)
Zn: 0.0000 0.5000 0.5000 (multiplicity 2)
Zn: 0.2500 0.2500 0.0000 (multiplicity 4)
Ag: 0.0000 0.0000 0.5000 (multiplicity 2)
Ag: 0.0907 0.3914 0.2131 (multiplicity 8)
Ag: 0.1532 0.1783 0.3428 (multiplicity 8)

The 10 most intense peaks (2θ = 15–90°), in order of rising 2θ:
h k l  2theta  I/Imax
1 3 1  32.44  452
1 3 -2  33.53  477
2 0 -1  33.76  435
1 1 2  37.35  549
0 4 2  37.97  1000
1 5 0  38.08  721
2 2 0  38.25  468
1 1 -3  38.95  399
2 2 -2  39.51  530
2 4 -1  43.53  530

***

(2)
This entry pairs a crystal structure of CePm8Er2 with its simulated X-ray diffraction stick pattern. Radiation: Cu Kα, 1.54184 Å. Structure: a crystal structure in Alexandria, relaxed with PBE.
Kinematic intensities with the Lorentz-polarization factor, no thermal factor.

Structure:
abc: 5.6678 8.2007 15.9516
angles: 90.00 90.00 90.00
Space group Immm (No. 71)
Unique sites:
Ce: 0.0000 0.0000 0.0000 (multiplicity 2)
Pm: 0.0000 0.2108 0.5000 (multiplicity 4)
Pm: 0.0000 0.2923 0.1358 (multiplicity 8)
Pm: 0.0000 0.5000 0.3362 (multiplicity 4)
Er: 0.0000 0.0000 0.3004 (multiplicity 4)

The 10 most intense peaks (2θ = 15–90°), in order of rising 2θ:
h k l  2theta  I/Imax
0 2 2  24.41  106
1 1 4  29.47  247
2 0 0  31.57  359
1 2 3  31.76  1000
1 0 5  32.20  187
0 3 1  33.25  101
0 0 6  33.71  126
3 2 3  56.35  224
2 3 7  62.35  105
1 5 4  63.49  108

***

(3)
This entry pairs a crystal structure of Sm7InS5 with its simulated X-ray diffraction stick pattern. Radiation: Cu Kα, 1.54184 Å. Structure: a crystal structure in Alexandria, relaxed with PBE.
Kinematic intensities with the Lorentz-polarization factor, no thermal factor.

Structure:
abc: 4.0270 13.3731 24.1745
angles: 90.00 90.00 90.00
Space group Cmcm (No. 63)
Unique sites:
Sm: 0.0000 0.0168 0.2500 (multiplicity 4)
Sm: 0.0000 0.1359 0.5358 (multiplicity 8)
Sm: 0.0000 0.3240 0.1713 (multiplicity 8)
Sm: 0.0000 0.4085 0.6090 (multiplicity 8)
In: 0.0000 0.3010 0.7500 (multiplicity 4)
S: 0.0000 0.0440 0.6396 (multiplicity 8)
S: 0.0000 0.2269 0.0696 (multiplicity 8)
S: 0.0000 0.5000 0.0000 (multiplicity 4)

The 10 most intense peaks (2θ = 15–90°), in order of rising 2θ:
h k l  2theta  I/Imax
1 1 4  27.44  516
0 2 7  29.10  1000
1 1 5  29.63  397
1 3 2  30.82  994
1 3 3  31.94  611
0 2 8  32.53  208
0 6 5  44.78  447
2 0 0  45.02  342
0 0 14  53.05  247
2 2 7  54.51  346

***

(4)
This entry pairs a crystal structure of KRbPa4N8 with its simulated X-ray diffraction stick pattern. Radiation: Cu Kα, 1.54184 Å. Structure: a crystal structure in Alexandria, relaxed with PBE.
Kinematic intensities with the Lorentz-polarization factor, no thermal factor.

Structure:
abc: 7.1562 7.1562 17.8305
angles: 90.00 90.00 120.00
Space group R3m (No. 160, hexagonal axes)
Unique sites:
K: 0.0000 0.0000 0.0000 (multiplicity 3)
Rb: 0.0000 0.0000 0.3801 (multiplicity 3)
Pa: 0.0000 0.0000 0.6210 (multiplicity 3)
Pa: 0.1727 0.3454 0.8360 (multiplicity 9)
N: 0.0000 0.0000 0.2282 (multiplicity 3)
N: 0.0000 0.0000 0.7456 (multiplicity 3)
N: 0.0169 0.5084 0.2338 (multiplicity 9)
N: 0.0530 0.5265 0.7811 (multiplicity 9)

The 10 most intense peaks (2θ = 15–90°), in order of rising 2θ:
h k l  2theta  I/Imax
0 1 2  17.43  298
1 0 4  24.60  524
0 1 5  28.89  367
1 1 3  29.13  646
0 2 1  29.25  1000
2 0 2  30.54  517
0 2 7  46.13  307
2 0 8  50.44  349
2 2 0  51.05  364
4 0 1  59.89  264